Structure and computed powder XRD pattern of TbErGa2Ag2 (a cell relaxed with GGA-PBE; a wavelength of 1.5418 Å).
Intensities are scaled so that the largest is 100.

Crystal structure
a b c (Å): 4.5848 4.5848 7.0167
angles (deg): 90.00 90.00 120.00
Positions (direct):
Tb1 0.0000 0.0000 0.0000
Er1 0.0000 0.0000 0.5000
Ga1 0.3333 0.6667 0.2842
Ga2 0.3333 0.6667 0.7158
Ag1 0.6667 0.3333 0.2406
Ag2 0.6667 0.3333 0.7594

Main lines, low angle first (10 to 90 degrees two-theta):
2theta  I/Imax  hkl
22.4  13  1 0 0
34.1  100  1 0 2
39.3  63  1 1 0
52.1  8  0 0 4
53.0  28  2 0 2
67.2  21  1 1 4
67.9  26  2 1 2
71.3  12  3 0 0